Record 1
Sr2CaTi6N2O11: theoretical powder diffractogram (copper Kα), based on a crystal structure in the Materials Project, relaxed with PBE.
Kinematic intensities with the Lorentz-polarization factor, no thermal factor.

a = 3.925 Å, b = 7.611 Å, c = 9.874 Å
α = 100.56°, β = 91.89°, γ = 98.88°
Positions (direct):
Sr 0.000 0.000 0.000
Sr 0.153 0.229 0.640
Ca 0.399 0.280 0.296
Ti 0.384 0.650 0.001
Ti 0.477 0.883 0.344
Ti 0.509 0.891 0.717
Ti 0.774 0.384 0.929
Ti 0.896 0.586 0.220
Ti 0.913 0.631 0.549
N 0.456 0.811 0.878
N 0.891 0.651 0.037
O 0.011 0.887 0.670
O 0.277 0.400 0.894
O 0.397 0.591 0.218
O 0.440 0.699 0.537
O 0.463 0.973 0.185
O 0.529 0.100 0.460
O 0.650 0.143 0.792
O 0.779 0.308 0.096
O 0.831 0.483 0.665
O 0.906 0.448 0.379
O 0.959 0.816 0.358

Principal peaks in the range 2θ from 10° to 90°, sorted by position:
hkl 0 2 -2, 2θ = 27.45°, I = 707
hkl 0 0 3, 2θ = 27.64°, I = 1000
hkl 1 1 1, 2θ = 30.44°, I = 924
hkl 1 1 -2, 2θ = 31.21°, I = 521
hkl 0 3 2, 2θ = 44.36°, I = 496
hkl 2 -1 0, 2θ = 46.54°, I = 593

Record 2
Sr2CaTi6N2O11: theoretical powder diffractogram (copper Kα), based on a crystal structure in the Materials Project, relaxed with PBE.
Kinematic intensities with the Lorentz-polarization factor, no thermal factor.

a = 3.885 Å, b = 7.465 Å, c = 10.097 Å
α = 103.53°, β = 91.42°, γ = 102.73°
Positions (direct):
Sr 0.000 0.000 0.000
Sr 0.123 0.093 0.340
Ca 0.007 0.101 0.680
Ti 0.289 0.598 0.076
Ti 0.350 0.723 0.414
Ti 0.390 0.781 0.767
Ti 0.655 0.344 0.898
Ti 0.716 0.409 0.239
Ti 0.770 0.514 0.576
N 0.369 0.734 0.937
N 0.754 0.522 0.082
O 0.150 0.319 0.924
O 0.226 0.437 0.266
O 0.299 0.581 0.585
O 0.373 0.804 0.247
O 0.419 0.959 0.529
O 0.523 0.060 0.831
O 0.589 0.155 0.156
O 0.691 0.380 0.722
O 0.701 0.300 0.438
O 0.822 0.661 0.408
O 0.894 0.794 0.726

Principal peaks in the range 2θ from 10° to 90°, sorted by position:
hkl 1 1 0, 2θ = 29.30°, I = 919
hkl 1 -2 0, 2θ = 30.39°, I = 1000
hkl 0 2 -3, 2θ = 32.48°, I = 697
hkl 1 0 -3, 2θ = 34.85°, I = 782
hkl 1 -1 3, 2θ = 35.74°, I = 658
hkl 2 -1 0, 2θ = 46.82°, I = 710